Diffraction record for Nd4Y7Mg. The X-ray powder pattern is computed, not measured: it uses a cell relaxed with GGA-PBE and a wavelength of 1.5418 Å.
No peak broadening, texture or thermal motion is included.

Structure:
```
Nd4Y7Mg
1.0
6.6634 0.0000 0.0000
-2.8931 6.0058 0.0000
-1.9594 -2.8869 9.8184
Nd Y Mg
4 7 1
Direct
0.0000 0.0000 0.0000
0.0849 0.1020 0.6570
0.4234 0.9378 0.8583
0.5218 0.0204 0.5364
0.0073 0.5365 0.5364
0.0977 0.6252 0.2097
0.1866 0.2009 0.3474
0.5040 0.5156 0.0126
0.5736 0.5862 0.6661
0.6106 0.1119 0.2069
0.9265 0.4319 0.8597
0.6807 0.6911 0.3463
```

The 10 most intense peaks (10 to 90 degrees two-theta), sorted by position:
2θ/deg, I_rel
31.03, 41
31.17, 62
31.25, 26
31.42, 49
31.75, 100
35.04, 17
44.78, 15
45.09, 16
56.05, 19
61.80, 22

***

Diffraction record for Nd4Y8Mg. The X-ray powder pattern is computed, not measured: it uses a cell relaxed with GGA-PBE and a wavelength of 1.5418 Å.
No peak broadening, texture or thermal motion is included.

Structure:
```
Nd4Y8Mg
1.0
5.5262 3.1905 4.5033
-5.5262 3.1905 4.5033
0.0000 -6.3811 4.5033
Nd Y Mg
4 8 1
Direct
0.0000 0.0000 0.0000
0.0000 0.5000 0.5000
0.5000 0.0000 0.5000
0.5000 0.5000 0.0000
0.2434 0.2434 0.2434
0.2432 0.2432 0.7559
0.2432 0.7559 0.2432
0.2441 0.7568 0.7568
0.7559 0.2432 0.2432
0.7568 0.2441 0.7568
0.7568 0.7568 0.2441
0.7566 0.7566 0.7566
0.5000 0.5000 0.5000
```

The 10 most intense peaks (10 to 90 degrees two-theta), sorted by position:
2θ/deg, I_rel
19.69, 40
32.42, 100
38.22, 22
46.51, 18
50.97, 10
57.81, 28
57.91, 9
61.71, 7
67.84, 6
77.26, 15